Record 1
Structure and computed PXRD pattern of CrHg2Rh (a crystal structure in Alexandria, relaxed with GGA-PBE; a wavelength of 1.5418 Å).
No peak broadening, texture or thermal motion is included.

Crystal structure
Cell: 5.3847 5.3847 4.8539 Å, 109.00 109.00 33.15°
Element x y z (fractional)
Cr 0.0000 0.0000 0.0000
Hg 0.2418 0.2418 0.8171
Hg 0.4592 0.4592 0.4702
Rh 0.7004 0.7004 0.2888

Main lines, by intensity (2θ from 10° to 90°):
2θ 38.17, I 100
2θ 40.70, I 86
2θ 37.04, I 48
2θ 37.41, I 48
2θ 30.52, I 31
2θ 31.12, I 27


Record 2
Structure and computed PXRD pattern of PrMgNi2P2 (a crystal structure in Alexandria, relaxed with GGA-PBE; a wavelength of 1.5418 Å).
No peak broadening, texture or thermal motion is included.

Crystal structure
Cell: 3.9874 3.9874 6.9211 Å, 90.00 90.00 120.00°
Element x y z (fractional)
Pr 0.0000 0.0000 0.0000
Mg 0.0000 0.0000 0.5000
Ni 0.3333 0.6667 0.6779
Ni 0.6667 0.3333 0.3221
P 0.3333 0.6667 0.2813
P 0.6667 0.3333 0.7187

Main lines, by intensity (2θ from 10° to 90°):
2θ 36.77, I 100
2θ 28.90, I 79
2θ 45.50, I 57
2θ 59.84, I 36
2θ 61.47, I 27
2θ 78.27, I 26


Record 3
Structure and computed PXRD pattern of Sr2Mg3Bi4 (a crystal structure in Alexandria, relaxed with GGA-PBE; a wavelength of 1.5418 Å).
No peak broadening, texture or thermal motion is included.

Crystal structure
Cell: 9.3681 9.3681 9.1020 Å, 90.00 90.00 136.45°
Element x y z (fractional)
Sr 0.1158 0.8842 0.9178
Sr 0.3842 0.6158 0.4178
Sr 0.6158 0.3842 0.5822
Sr 0.8842 0.1158 0.0822
Mg 0.0000 0.0000 0.5000
Mg 0.0343 0.4657 0.7500
Mg 0.4657 0.0343 0.2500
Mg 0.5000 0.5000 0.0000
Mg 0.5343 0.9657 0.7500
Mg 0.9657 0.5343 0.2500
Bi 0.1878 0.8122 0.5554
Bi 0.2032 0.2968 0.7500
Bi 0.2968 0.2032 0.2500
Bi 0.3122 0.6878 0.0554
Bi 0.6878 0.3122 0.9446
Bi 0.7032 0.7968 0.7500
Bi 0.7968 0.7032 0.2500
Bi 0.8122 0.1878 0.4446

Main lines, by intensity (2θ from 10° to 90°):
2θ 32.41, I 100
2θ 30.36, I 65
2θ 22.04, I 60
2θ 22.66, I 51
2θ 31.22, I 51
2θ 29.36, I 49


What is the formula in the first record?
CrHg2Rh


Copy entry 1 word for word.
Structure and computed PXRD pattern of CrHg2Rh (a crystal structure in Alexandria, relaxed with GGA-PBE; a wavelength of 1.5418 Å).
No peak broadening, texture or thermal motion is included.

Crystal structure
Cell: 5.3847 5.3847 4.8539 Å, 109.00 109.00 33.15°
Element x y z (fractional)
Cr 0.0000 0.0000 0.0000
Hg 0.2418 0.2418 0.8171
Hg 0.4592 0.4592 0.4702
Rh 0.7004 0.7004 0.2888

Main lines, by intensity (2θ from 10° to 90°):
2θ 38.17, I 100
2θ 40.70, I 86
2θ 37.04, I 48
2θ 37.41, I 48
2θ 30.52, I 31
2θ 31.12, I 27


Which formula does entry 3 have?
Sr2Mg3Bi4